Diffraction record for Li3V2O3F3. The powder diffractogram is simulated, not measured: it uses DFT lattice parameters and positions (PBE+U) and Cu Kα, 1.54184 Å.

Most intense lines, 2θ from 10° to 90°, most intense first:
2θ = 26.60°, d = 3.351 Å, I 100; 2θ = 33.41°, d = 2.682 Å, I 82; 2θ = 19.87°, d = 4.468 Å, I 66; 2θ = 32.42°, d = 2.762 Å, I 64; 2θ = 31.41°, d = 2.848 Å, I 62; 2θ = 32.58°, d = 2.748 Å, I 62; 2θ = 32.03°, d = 2.795 Å, I 61; 2θ = 55.92°, d = 1.644 Å, I 52; 2θ = 56.66°, d = 1.625 Å, I 49; 2θ = 57.79°, d = 1.595 Å, I 46

Cell and atoms:
```
Li3V2O3F3
1.0
3.1910 0.0000 0.0000
1.5564 2.8545 0.0000
1.5686 0.8906 13.4029
Li V O F
3 2 3 3
Direct
0.0000 0.0000 0.0000
0.1238 0.1114 0.6400
0.3955 0.3910 0.8201
0.2662 0.2645 0.2109
0.5253 0.5238 0.4385
0.1818 0.1627 0.4670
0.5724 0.5625 0.2951
0.9507 0.9570 0.1492
0.0757 0.0609 0.7828
0.3456 0.3529 0.9622
0.4672 0.4659 0.6070
```

Diffraction record for Fe5P6WO24. The powder diffractogram is simulated, not measured: it uses DFT lattice parameters and positions (PBE+U) and Cu Kα, 1.54184 Å.

Most intense lines, 2θ from 10° to 90°, most intense first:
2θ = 20.40°, d = 4.353 Å, I 100; 2θ = 24.12°, d = 3.690 Å, I 69; 2θ = 32.97°, d = 2.717 Å, I 64; 2θ = 35.72°, d = 2.513 Å, I 39; 2θ = 20.70°, d = 4.290 Å, I 29; 2θ = 47.24°, d = 1.924 Å, I 28; 2θ = 55.88°, d = 1.645 Å, I 24; 2θ = 49.39°, d = 1.845 Å, I 24; 2θ = 12.48°, d = 7.092 Å, I 24; 2θ = 62.44°, d = 1.487 Å, I 19

Cell and atoms:
```
Fe5P6WO24
1.0
4.3535 2.5135 6.9553
-4.3535 2.5135 6.9553
0.0000 -5.0270 6.9553
Fe P W O
5 6 1 24
Direct
0.0000 0.0000 0.0000
0.1393 0.1393 0.1393
0.3514 0.3514 0.3514
0.4952 0.4952 0.4952
0.6375 0.6375 0.6375
0.0394 0.7407 0.4472
0.2493 0.5328 0.9512
0.4472 0.0394 0.7408
0.5328 0.9512 0.2493
0.7408 0.4472 0.0394
0.9512 0.2493 0.5328
0.8523 0.8523 0.8523
0.0530 0.9036 0.2560
0.0852 0.7348 0.9306
0.1093 0.3055 0.5016
0.1753 0.3830 0.9919
0.2335 0.5845 0.4418
0.2560 0.0530 0.9036
0.3055 0.5016 0.1093
0.3830 0.9919 0.1753
0.4034 0.5538 0.7545
0.4418 0.2335 0.5845
0.4939 0.8834 0.6739
0.5016 0.1093 0.3055
0.5538 0.7545 0.4034
0.5845 0.4418 0.2335
0.6066 0.9943 0.8142
0.6739 0.4939 0.8834
0.7348 0.9306 0.0852
0.7545 0.4034 0.5538
0.8142 0.6066 0.9943
0.8834 0.6739 0.4939
0.9036 0.2560 0.0530
0.9306 0.0852 0.7348
0.9919 0.1753 0.3830
0.9943 0.8142 0.6066
```

Diffraction record for Li4VF8. The powder diffractogram is simulated, not measured: it uses DFT lattice parameters and positions (PBE+U) and Cu Kα, 1.54184 Å.

Most intense lines, 2θ from 10° to 90°, most intense first:
2θ = 18.25°, d = 4.862 Å, I 100; 2θ = 44.00°, d = 2.058 Å, I 78; 2θ = 42.76°, d = 2.115 Å, I 54; 2θ = 20.54°, d = 4.325 Å, I 47; 2θ = 20.97°, d = 4.236 Å, I 47; 2θ = 47.19°, d = 1.926 Å, I 43; 2θ = 24.49°, d = 3.635 Å, I 25; 2θ = 58.64°, d = 1.574 Å, I 21; 2θ = 18.78°, d = 4.726 Å, I 19; 2θ = 62.11°, d = 1.495 Å, I 18

Cell and atoms:
```
Li4VF8
1.0
9.4762 0.0000 0.0000
0.0000 9.4515 0.0000
0.0000 0.0000 5.6674
Li V F
16 4 32
Direct
0.1091 0.0781 0.1224
0.1091 0.4219 0.1224
0.1310 0.0638 0.6129
0.1310 0.4362 0.6129
0.3690 0.5638 0.1129
0.3690 0.9362 0.1129
0.3909 0.5781 0.6224
0.3909 0.9219 0.6224
0.6091 0.0781 0.3776
0.6091 0.4219 0.3776
0.6310 0.0638 0.8871
0.6310 0.4362 0.8871
0.8690 0.5638 0.3871
0.8690 0.9362 0.3871
0.8909 0.5781 0.8776
0.8909 0.9219 0.8776
0.1338 0.7500 0.3722
0.3662 0.2500 0.8722
0.6338 0.7500 0.1278
0.8662 0.2500 0.6278
0.0231 0.6204 0.1591
0.0231 0.8796 0.1591
0.0281 0.6253 0.5931
0.0281 0.8747 0.5931
0.2247 0.2500 0.1151
0.2347 0.2500 0.6183
0.2370 0.5372 0.3708
0.2370 0.9628 0.3708
0.2630 0.0372 0.8708
0.2630 0.4628 0.8708
0.2653 0.7500 0.1183
0.2753 0.7500 0.6151
0.4719 0.1253 0.0931
0.4719 0.3747 0.0931
0.4769 0.1204 0.6591
0.4769 0.3796 0.6591
0.5231 0.6204 0.3409
0.5231 0.8796 0.3409
0.5281 0.6253 0.9069
0.5281 0.8747 0.9069
0.7247 0.2500 0.3849
0.7347 0.2500 0.8817
0.7370 0.5372 0.1292
0.7370 0.9628 0.1292
0.7630 0.0372 0.6292
0.7630 0.4628 0.6292
0.7653 0.7500 0.3817
0.7753 0.7500 0.8849
0.9719 0.1253 0.4069
0.9719 0.3747 0.4069
0.9769 0.1204 0.8409
0.9769 0.3796 0.8409
```

Diffraction record for Li10V5Cr3O16. The powder diffractogram is simulated, not measured: it uses DFT lattice parameters and positions (PBE+U) and Cu Kα, 1.54184 Å.

Most intense lines, 2θ from 10° to 90°, most intense first:
2θ = 19.27°, d = 4.607 Å, I 100; 2θ = 17.89°, d = 4.959 Å, I 84; 2θ = 44.41°, d = 2.040 Å, I 73; 2θ = 34.98°, d = 2.565 Å, I 48; 2θ = 61.45°, d = 1.509 Å, I 48; 2θ = 44.20°, d = 2.049 Å, I 47; 2θ = 35.70°, d = 2.515 Å, I 45; 2θ = 58.70°, d = 1.573 Å, I 31; 2θ = 39.04°, d = 2.307 Å, I 31; 2θ = 34.65°, d = 2.589 Å, I 25

Cell and atoms:
```
Li10V5Cr3O16
1.0
5.2408 -2.9949 0.0000
5.2408 2.9949 0.0000
-0.1100 0.0000 9.9174
Li V Cr O
10 5 3 16
Direct
0.0000 0.0000 0.0000
0.0063 0.0063 0.4993
0.1986 0.6100 0.4296
0.2029 0.2029 0.4278
0.3347 0.3347 0.2110
0.3983 0.8133 0.9253
0.6100 0.1986 0.4296
0.6727 0.6727 0.7117
0.8078 0.8078 0.9303
0.8133 0.3983 0.9253
0.1751 0.1751 0.7015
0.3358 0.3358 0.9581
0.3397 0.8339 0.2010
0.6710 0.6710 0.4592
0.8339 0.3397 0.2010
0.1755 0.6702 0.6997
0.6702 0.1755 0.6997
0.8354 0.8354 0.1997
0.0009 0.0009 0.3132
0.0040 0.0040 0.8127
0.0193 0.5027 0.8152
0.1605 0.1605 0.0813
0.1610 0.6806 0.0837
0.3281 0.8453 0.5859
0.3430 0.3430 0.5832
0.4968 0.4968 0.8182
0.5027 0.0193 0.8152
0.5103 0.5103 0.3174
0.5126 0.9901 0.3176
0.6729 0.6729 0.0813
0.6806 0.1610 0.0837
0.8453 0.3281 0.5859
0.8475 0.8475 0.5813
0.9901 0.5126 0.3176
```

Diffraction record for V3Fe2CuO12. The powder diffractogram is simulated, not measured: it uses DFT lattice parameters and positions (PBE+U) and Cu Kα, 1.54184 Å.

Most intense lines, 2θ from 10° to 90°, most intense first:
2θ = 27.49°, d = 3.244 Å, I 100; 2θ = 11.77°, d = 7.517 Å, I 47; 2θ = 28.76°, d = 3.104 Å, I 45; 2θ = 12.30°, d = 7.196 Å, I 43; 2θ = 27.26°, d = 3.271 Å, I 40; 2θ = 23.68°, d = 3.758 Å, I 26; 2θ = 19.52°, d = 4.549 Å, I 18; 2θ = 54.91°, d = 1.672 Å, I 18; 2θ = 28.05°, d = 3.181 Å, I 17; 2θ = 40.62°, d = 2.221 Å, I 15

Cell and atoms:
```
V3Fe2CuO12
1.0
6.7012 0.0000 0.0000
-1.7473 8.0500 0.0000
-2.1898 -3.4875 9.0988
V Fe Cu O
6 4 2 24
Direct
0.0901 0.2750 0.1214
0.2708 0.3323 0.7353
0.3801 0.8983 0.6668
0.6199 0.1017 0.3332
0.7292 0.6677 0.2647
0.9099 0.7250 0.8786
0.1225 0.0620 0.3941
0.4522 0.7946 0.9846
0.5478 0.2054 0.0154
0.8775 0.9380 0.6059
0.2487 0.7356 0.2345
0.7513 0.2644 0.7655
0.0056 0.2174 0.7325
0.0745 0.1625 0.2436
0.1614 0.7786 0.0068
0.1643 0.9687 0.5793
0.1779 0.5032 0.2185
0.2650 0.2183 0.0237
0.2725 0.2947 0.5587
0.3209 0.5524 0.8255
0.3407 0.6898 0.5771
0.3681 0.9819 0.3476
0.4200 0.9387 0.8575
0.5003 0.2692 0.8242
0.4997 0.7308 0.1758
0.5800 0.0613 0.1425
0.6319 0.0181 0.6524
0.6593 0.3102 0.4229
0.6791 0.4476 0.1745
0.7275 0.7053 0.4413
0.7350 0.7817 0.9763
0.8221 0.4968 0.7815
0.8357 0.0313 0.4207
0.8386 0.2214 0.9932
0.9255 0.8375 0.7564
0.9944 0.7826 0.2675
```

Diffraction record for WC4Br2O4. The powder diffractogram is simulated, not measured: it uses DFT lattice parameters and positions (PBE+U) and Cu Kα, 1.54184 Å.

Most intense lines, 2θ from 10° to 90°, most intense first:
2θ = 12.28°, d = 7.207 Å, I 100; 2θ = 30.63°, d = 2.919 Å, I 23; 2θ = 22.08°, d = 4.026 Å, I 15; 2θ = 35.75°, d = 2.512 Å, I 14; 2θ = 27.17°, d = 3.282 Å, I 11; 2θ = 31.89°, d = 2.806 Å, I 11; 2θ = 19.53°, d = 4.546 Å, I 11; 2θ = 14.98°, d = 5.914 Å, I 11; 2θ = 46.57°, d = 1.950 Å, I 8; 2θ = 24.94°, d = 3.570 Å, I 7

Cell and atoms:
```
WC4Br2O4
1.0
7.3793 -4.5464 0.0000
7.3793 4.5464 0.0000
-5.6806 0.0000 7.6129
W C Br O
2 8 4 8
Direct
0.0897 0.0897 0.2718
0.9103 0.9103 0.7282
0.0940 0.7313 0.6018
0.2162 0.2162 0.2331
0.2385 0.2385 0.5160
0.2687 0.9060 0.3982
0.7313 0.0940 0.6018
0.7615 0.7615 0.4840
0.7838 0.7838 0.7669
0.9060 0.2687 0.3982
0.1107 0.1107 0.7805
0.2029 0.7971 0.0000
0.7971 0.2029 0.0000
0.8893 0.8893 0.2195
0.1987 0.6313 0.5317
0.2871 0.2871 0.2154
0.3203 0.3203 0.6612
0.3687 0.8013 0.4683
0.6313 0.1987 0.5317
0.6797 0.6797 0.3388
0.7129 0.7129 0.7846
0.8013 0.3687 0.4683
```

Repeat the third record exactly.
Diffraction record for Li4VF8. The powder diffractogram is simulated, not measured: it uses DFT lattice parameters and positions (PBE+U) and Cu Kα, 1.54184 Å.

Most intense lines, 2θ from 10° to 90°, most intense first:
2θ = 18.25°, d = 4.862 Å, I 100; 2θ = 44.00°, d = 2.058 Å, I 78; 2θ = 42.76°, d = 2.115 Å, I 54; 2θ = 20.54°, d = 4.325 Å, I 47; 2θ = 20.97°, d = 4.236 Å, I 47; 2θ = 47.19°, d = 1.926 Å, I 43; 2θ = 24.49°, d = 3.635 Å, I 25; 2θ = 58.64°, d = 1.574 Å, I 21; 2θ = 18.78°, d = 4.726 Å, I 19; 2θ = 62.11°, d = 1.495 Å, I 18

Cell and atoms:
```
Li4VF8
1.0
9.4762 0.0000 0.0000
0.0000 9.4515 0.0000
0.0000 0.0000 5.6674
Li V F
16 4 32
Direct
0.1091 0.0781 0.1224
0.1091 0.4219 0.1224
0.1310 0.0638 0.6129
0.1310 0.4362 0.6129
0.3690 0.5638 0.1129
0.3690 0.9362 0.1129
0.3909 0.5781 0.6224
0.3909 0.9219 0.6224
0.6091 0.0781 0.3776
0.6091 0.4219 0.3776
0.6310 0.0638 0.8871
0.6310 0.4362 0.8871
0.8690 0.5638 0.3871
0.8690 0.9362 0.3871
0.8909 0.5781 0.8776
0.8909 0.9219 0.8776
0.1338 0.7500 0.3722
0.3662 0.2500 0.8722
0.6338 0.7500 0.1278
0.8662 0.2500 0.6278
0.0231 0.6204 0.1591
0.0231 0.8796 0.1591
0.0281 0.6253 0.5931
0.0281 0.8747 0.5931
0.2247 0.2500 0.1151
0.2347 0.2500 0.6183
0.2370 0.5372 0.3708
0.2370 0.9628 0.3708
0.2630 0.0372 0.8708
0.2630 0.4628 0.8708
0.2653 0.7500 0.1183
0.2753 0.7500 0.6151
0.4719 0.1253 0.0931
0.4719 0.3747 0.0931
0.4769 0.1204 0.6591
0.4769 0.3796 0.6591
0.5231 0.6204 0.3409
0.5231 0.8796 0.3409
0.5281 0.6253 0.9069
0.5281 0.8747 0.9069
0.7247 0.2500 0.3849
0.7347 0.2500 0.8817
0.7370 0.5372 0.1292
0.7370 0.9628 0.1292
0.7630 0.0372 0.6292
0.7630 0.4628 0.6292
0.7653 0.7500 0.3817
0.7753 0.7500 0.8849
0.9719 0.1253 0.4069
0.9719 0.3747 0.4069
0.9769 0.1204 0.8409
0.9769 0.3796 0.8409
```